1.
This entry pairs a crystal structure of Ac2LaNdHo with its theoretical X-ray powder pattern. Radiation: copper Kα. Structure: a cell relaxed with GGA-PBE.
Kinematic intensities with the Lorentz-polarization factor, no thermal factor.

Structural model:
```
data_Ac2LaNdHo
_space_group_name_H-M_alt 'P 1 2/c 1'
_space_group_IT_number 13
_cell_length_a 8.850
_cell_length_b 6.905
_cell_length_c 6.527
_cell_angle_alpha 90.00
_cell_angle_beta 90.04
_cell_angle_gamma 90.00
loop_
_space_group_symop_operation_xyz
'x,y,z'
'-x,-y,-z'
'-x,y,-z+1/2'
'x,-y,z+1/2'
loop_
_atom_site_label
_atom_site_type_symbol
_atom_site_fract_x
_atom_site_fract_y
_atom_site_fract_z
Ac1 Ac 0.208 0.213 0.250
La1 La 0.500 0.083 0.750
Nd1 Nd 0.000 0.316 0.750
Ho1 Ho 0.500 0.500 0.000
```

Main lines, by intensity (10 to 90 degrees two-theta):
- 3.236 Å, 27.6 deg, I 100, hkl 2 1 1
- 3.217 Å, 27.7 deg, I 29, hkl 1 2 0
- 2.950 Å, 30.3 deg, I 26, hkl 3 0 0
- 3.264 Å, 27.3 deg, I 25, hkl 0 0 2
- 2.372 Å, 37.9 deg, I 23, hkl 0 2 2
- 2.722 Å, 32.9 deg, I 22, hkl 2 2 0
- 1.879 Å, 48.4 deg, I 22, hkl 2 1 -3
- 2.505 Å, 35.8 deg, I 22, hkl 3 1 1
- 2.799 Å, 32.0 deg, I 21, hkl 1 1 -2
- 4.744 Å, 18.7 deg, I 20, hkl 0 1 1

=====

2.
This entry pairs a crystal structure of AcLa2Pm2Ho with its theoretical X-ray powder pattern. Radiation: copper Kα. Structure: a cell relaxed with GGA-PBE.
Kinematic intensities with the Lorentz-polarization factor, no thermal factor.

Structural model:
```
data_AcLa2Pm2Ho
_space_group_name_H-M_alt 'P m m a'
_space_group_IT_number 51
_cell_length_a 7.322
_cell_length_b 5.850
_cell_length_c 10.158
_cell_angle_alpha 90.00
_cell_angle_beta 90.00
_cell_angle_gamma 90.00
loop_
_space_group_symop_operation_xyz
'x,y,z'
'-x,-y,-z'
'-x+1/2,-y,z'
'x+1/2,y,-z'
'x+1/2,-y,-z'
'-x+1/2,y,z'
'-x,y,-z'
'x,-y,z'
loop_
_atom_site_label
_atom_site_type_symbol
_atom_site_fract_x
_atom_site_fract_y
_atom_site_fract_z
Ac1 Ac 0.000 0.000 0.000
La1 La 0.000 0.500 0.500
La2 La 0.250 0.000 0.335
Pm1 Pm 0.250 0.000 0.665
Pm2 Pm 0.250 0.500 0.170
Ho1 Ho 0.250 0.500 0.833
```

Main lines, by intensity (10 to 90 degrees two-theta):
- 2.929 Å, 30.5 deg, I 100, hkl 0 2 0
- 2.969 Å, 30.1 deg, I 98, hkl 2 0 2
- 2.085 Å, 43.4 deg, I 36, hkl 2 2 2
- 1.552 Å, 59.6 deg, I 30, hkl 4 2 0
- 1.699 Å, 54.0 deg, I 26, hkl 2 1 5
- 1.242 Å, 76.7 deg, I 14, hkl 4 3 3
- 1.690 Å, 54.3 deg, I 13, hkl 0 3 3
- 1.697 Å, 54.0 deg, I 13, hkl 2 3 1
- 1.314 Å, 71.9 deg, I 11, hkl 2 3 5
- 1.831 Å, 49.8 deg, I 9, hkl 4 0 0

=====

3.
This entry pairs a crystal structure of AcLaPm2Ho4 with its theoretical X-ray powder pattern. Radiation: copper Kα. Structure: a cell relaxed with GGA-PBE.
Kinematic intensities with the Lorentz-polarization factor, no thermal factor.

Structural model:
```
data_AcLaPm2Ho4
_space_group_name_H-M_alt 'P -1'
_space_group_IT_number 2
_cell_length_a 7.371
_cell_length_b 7.382
_cell_length_c 10.051
_cell_angle_alpha 89.96
_cell_angle_beta 89.91
_cell_angle_gamma 89.64
loop_
_space_group_symop_operation_xyz
'x,y,z'
'-x,-y,-z'
loop_
_atom_site_label
_atom_site_type_symbol
_atom_site_fract_x
_atom_site_fract_y
_atom_site_fract_z
Ac1 Ac 0.000 0.000 0.000
Ac2 Ac 0.000 0.500 0.500
La1 La 0.000 0.000 0.500
La2 La 0.500 0.000 0.500
Pm1 Pm 0.000 0.500 0.000
Pm2 Pm 0.500 0.000 0.000
Pm3 Pm 0.500 0.500 0.000
Pm4 Pm 0.500 0.500 0.500
Ho1 Ho 0.255 0.252 0.752
Ho2 Ho 0.255 0.748 0.248
Ho3 Ho 0.256 0.252 0.248
Ho4 Ho 0.256 0.748 0.752
```

Main lines, by intensity (10 to 90 degrees two-theta):
- 2.973 Å, 30.1 deg, I 100, hkl 2 0 2
- 2.616 Å, 34.3 deg, I 18, hkl 2 2 0
- 2.600 Å, 34.5 deg, I 17, hkl 2 -2 0
- 2.513 Å, 35.7 deg, I 16, hkl 0 0 4
- 1.564 Å, 59.1 deg, I 15, hkl 2 -4 2
- 1.525 Å, 60.7 deg, I 14, hkl 2 0 6
- 1.844 Å, 49.4 deg, I 13, hkl 0 4 0
- 1.807 Å, 50.5 deg, I 12, hkl 2 -2 4
- 1.571 Å, 58.8 deg, I 11, hkl 2 4 2
- 1.487 Å, 62.4 deg, I 9, hkl 0 4 4

=====

4.
This entry pairs a crystal structure of AcLa6Pm2Ho with its theoretical X-ray powder pattern. Radiation: copper Kα. Structure: a cell relaxed with GGA-PBE.
Kinematic intensities with the Lorentz-polarization factor, no thermal factor.

Structural model:
```
data_AcLa6Pm2Ho
_space_group_name_H-M_alt 'C 1 2/m 1'
_space_group_IT_number 12
_cell_length_a 11.768
_cell_length_b 6.870
_cell_length_c 10.123
_cell_angle_alpha 90.00
_cell_angle_beta 116.31
_cell_angle_gamma 90.00
loop_
_space_group_symop_operation_xyz
'x,y,z'
'-x,-y,-z'
'-x,y,-z'
'x,-y,z'
'x+1/2,y+1/2,z'
'-x+1/2,-y+1/2,-z'
'-x+1/2,y+1/2,-z'
'x+1/2,-y+1/2,z'
loop_
_atom_site_label
_atom_site_type_symbol
_atom_site_fract_x
_atom_site_fract_y
_atom_site_fract_z
Ac1 Ac 0.000 0.000 0.000
La1 La 0.145 0.500 0.921
La2 La 0.190 0.272 0.332
Pm1 Pm 0.066 0.000 0.689
Ho1 Ho 0.000 0.500 0.500
```

Main lines, by intensity (10 to 90 degrees two-theta):
- 2.905 Å, 30.8 deg, I 100, hkl 4 0 -2
- 2.958 Å, 30.2 deg, I 97, hkl 2 2 -1
- 2.878 Å, 31.1 deg, I 88, hkl 2 2 0
- 2.992 Å, 29.9 deg, I 87, hkl 1 1 -3
- 3.209 Å, 27.8 deg, I 72, hkl 1 1 2
- 2.795 Å, 32.0 deg, I 62, hkl 3 1 -3
- 3.025 Å, 29.5 deg, I 50, hkl 0 0 3
- 1.701 Å, 53.9 deg, I 50, hkl 6 2 -2
- 2.654 Å, 33.8 deg, I 49, hkl 3 1 1
- 1.813 Å, 50.3 deg, I 36, hkl 5 1 1

=====

5.
This entry pairs a crystal structure of AcLa4Pr2Ho with its theoretical X-ray powder pattern. Radiation: copper Kα. Structure: a cell relaxed with GGA-PBE.
Kinematic intensities with the Lorentz-polarization factor, no thermal factor.

Structural model:
```
data_AcLa4Pr2Ho
_space_group_name_H-M_alt 'C 1 2/m 1'
_space_group_IT_number 12
_cell_length_a 11.796
_cell_length_b 5.284
_cell_length_c 10.620
_cell_angle_alpha 90.00
_cell_angle_beta 116.71
_cell_angle_gamma 90.00
loop_
_space_group_symop_operation_xyz
'x,y,z'
'-x,-y,-z'
'-x,y,-z'
'x,-y,z'
'x+1/2,y+1/2,z'
'-x+1/2,-y+1/2,-z'
'-x+1/2,y+1/2,-z'
'x+1/2,-y+1/2,z'
loop_
_atom_site_label
_atom_site_type_symbol
_atom_site_fract_x
_atom_site_fract_y
_atom_site_fract_z
Ac1 Ac 0.000 0.000 0.000
La1 La 0.247 0.000 0.869
La2 La 0.248 0.500 0.621
Pr1 Pr 0.002 0.500 0.744
Ho1 Ho 0.000 0.000 0.500
```

Main lines, by intensity (10 to 90 degrees two-theta):
- 3.053 Å, 29.3 deg, I 100, hkl 1 1 2
- 1.871 Å, 48.7 deg, I 24, hkl 6 0 -4
- 2.655 Å, 33.8 deg, I 17, hkl 2 0 -4
- 2.642 Å, 33.9 deg, I 17, hkl 0 2 0
- 2.634 Å, 34.0 deg, I 17, hkl 4 0 0
- 1.593 Å, 57.9 deg, I 15, hkl 1 3 2
- 1.599 Å, 57.6 deg, I 15, hkl 5 1 -6
- 1.590 Å, 58.0 deg, I 15, hkl 7 1 -2
- 1.526 Å, 60.7 deg, I 13, hkl 6 2 -4
- 1.865 Å, 48.8 deg, I 12, hkl 4 2 0

=====

6.
This entry pairs a crystal structure of AcLaPr2Ho5 with its theoretical X-ray powder pattern. Radiation: copper Kα. Structure: a cell relaxed with GGA-PBE.
Kinematic intensities with the Lorentz-polarization factor, no thermal factor.

Structural model:
```
data_AcLaPr2Ho5
_space_group_name_H-M_alt 'I 4/m c m'
_space_group_IT_number 140
_space_group_name_Hall '-I 4 2c'
_cell_length_a 8.836
_cell_length_b 8.836
_cell_length_c 15.939
_cell_angle_alpha 90.00
_cell_angle_beta 90.00
_cell_angle_gamma 90.00
loop_
_atom_site_label
_atom_site_type_symbol
_atom_site_fract_x
_atom_site_fract_y
_atom_site_fract_z
Ac1 Ac 0.000 0.000 0.250
La1 La 0.000 0.500 0.250
Pr1 Pr 0.118 0.382 0.000
Ho1 Ho 0.000 0.000 0.000
Ho2 Ho 0.206 0.294 0.367
```

Main lines, by intensity (10 to 90 degrees two-theta):
- 2.959 Å, 30.2 deg, I 100, hkl 2 0 4
- 3.124 Å, 28.6 deg, I 48, hkl 2 2 0
- 3.171 Å, 28.1 deg, I 42, hkl 2 1 3
- 1.770 Å, 51.6 deg, I 21, hkl 4 2 4
- 2.794 Å, 32.0 deg, I 18, hkl 3 1 0
- 1.680 Å, 54.6 deg, I 15, hkl 2 2 8
- 2.422 Å, 37.1 deg, I 14, hkl 3 2 1
- 2.481 Å, 36.2 deg, I 14, hkl 2 1 5
- 1.992 Å, 45.5 deg, I 14, hkl 0 0 8
- 1.561 Å, 59.2 deg, I 13, hkl 4 4 0